Tb2Nd7Sc2: calculated X-ray diffraction stick pattern (a wavelength of 1.5418 Å), based on a crystal structure in Alexandria, relaxed with PBE.
Intensities are scaled so that the largest is 100.

Structural model:
Unit cell a=7.990 b=7.990 c=6.124 alpha=104.54 beta=104.54 gamma=92.97
Atoms (fractional coordinates):
1 Tb 0.211 0.211 0.083
2 Tb 0.789 0.789 0.917
3 Nd 0.000 0.000 0.500
4 Nd 0.058 0.580 0.309
5 Nd 0.420 0.942 0.691
6 Nd 0.422 0.422 0.704
7 Nd 0.578 0.578 0.296
8 Nd 0.580 0.058 0.309
9 Nd 0.942 0.420 0.691
10 Sc 0.225 0.775 0.000
11 Sc 0.775 0.225 0.000

Main lines, in order of rising 2θ (5° ≤ 2θ ≤ 70°):
d = 3.400 Å, I = 38; d = 2.948 Å, I = 34; d = 2.897 Å, I = 54; d = 2.844 Å, I = 100; d = 2.740 Å, I = 16; d = 2.663 Å, I = 28; d = 2.617 Å, I = 29; d = 2.477 Å, I = 12; d = 2.393 Å, I = 14; d = 1.991 Å, I = 12; d = 1.845 Å, I = 12; d = 1.662 Å, I = 18